This entry pairs a crystal structure of GdSb2Pd3 with its computed powder XRD pattern. Radiation: Cu Kα. Structure: a crystal structure in OQMD, relaxed with PBE.
Peak positions follow from Bragg's law for the DFT cell and can differ from measured ones.

Main lines, in order of rising 2θ (10 to 80 degrees two-theta):
| 2θ (°) | intensity |
| --- | --- |
| 29.09 | 32 |
| 32.16 | 28 |
| 33.04 | 43 |
| 33.51 | 100 |
| 34.59 | 21 |
| 34.72 | 26 |
| 37.35 | 26 |
| 41.21 | 33 |
| 41.85 | 44 |
| 42.14 | 65 |

Structural model:
Cell lengths 9.014, 9.014, 10.321 Å; angles 106.95, 106.95, 27.53 degrees
Element x y z (fractional)
Gd1 0.000 0.000 0.000
Gd2 0.156 0.156 0.702
Gd3 0.844 0.844 0.298
Sb1 0.196 0.196 0.129
Sb2 0.361 0.361 0.544
Sb3 0.459 0.459 0.214
Sb4 0.541 0.541 0.786
Sb5 0.639 0.639 0.456
Sb6 0.804 0.804 0.871
Pd1 0.041 0.041 0.334
Pd2 0.215 0.215 0.391
Pd3 0.319 0.319 0.034
Pd4 0.387 0.387 0.814
Pd5 0.500 0.500 0.500
Pd6 0.613 0.613 0.186
Pd7 0.681 0.681 0.966
Pd8 0.785 0.785 0.609
Pd9 0.959 0.959 0.666

This entry pairs a crystal structure of NaY2TaO6 with its computed powder XRD pattern. Radiation: Cu Kα. Structure: a crystal structure in OQMD, relaxed with PBE.
Peak positions follow from Bragg's law for the DFT cell and can differ from measured ones.

Main lines, in order of rising 2θ (10 to 80 degrees two-theta):
| 2θ (°) | intensity |
| --- | --- |
| 18.92 | 93 |
| 20.03 | 42 |
| 30.97 | 37 |
| 31.29 | 100 |
| 32.13 | 94 |
| 32.94 | 44 |
| 37.91 | 42 |
| 45.09 | 23 |
| 45.83 | 34 |
| 57.26 | 21 |

Structural model:
Cell lengths 5.443, 5.776, 9.554 Å; angles 90.00, 122.66, 90.00 degrees
Element x y z (fractional)
Na1 0.000 0.000 0.000
Na2 0.000 0.500 0.500
Y1 0.212 0.066 0.739
Y2 0.212 0.434 0.239
Y3 0.788 0.566 0.761
Y4 0.788 0.934 0.261
Ta1 0.500 0.000 0.500
Ta2 0.500 0.500 0.000
O1 0.147 0.177 0.442
O2 0.147 0.323 0.942
O3 0.242 0.718 0.408
O4 0.242 0.782 0.908
O5 0.423 0.077 0.275
O6 0.423 0.423 0.775
O7 0.577 0.577 0.225
O8 0.577 0.923 0.725
O9 0.758 0.218 0.092
O10 0.758 0.282 0.592
O11 0.853 0.677 0.058
O12 0.853 0.823 0.558

This entry pairs a crystal structure of K2In3CuSe6 with its computed powder XRD pattern. Radiation: Cu Kα. Structure: a crystal structure in OQMD, relaxed with PBE.
Peak positions follow from Bragg's law for the DFT cell and can differ from measured ones.

Main lines, in order of rising 2θ (10 to 80 degrees two-theta):
| 2θ (°) | intensity |
| --- | --- |
| 23.95 | 81 |
| 28.61 | 100 |
| 42.79 | 72 |
| 43.94 | 44 |
| 49.35 | 11 |
| 50.66 | 20 |
| 53.28 | 32 |
| 53.88 | 14 |
| 63.89 | 13 |
| 71.97 | 11 |

Structural model:
Cell lengths 8.242, 8.242, 21.680 Å; angles 95.46, 95.46, 90.06 degrees
Element x y z (fractional)
K1 0.105 0.738 0.917
K2 0.262 0.895 0.583
K3 0.279 0.396 0.583
K4 0.396 0.279 0.083
K5 0.604 0.721 0.917
K6 0.721 0.604 0.417
K7 0.738 0.105 0.417
K8 0.895 0.262 0.083
In1 0.061 0.939 0.750
In2 0.154 0.778 0.115
In3 0.221 0.346 0.385
In4 0.222 0.846 0.385
In5 0.346 0.221 0.885
In6 0.436 0.564 0.250
In7 0.564 0.436 0.750
In8 0.654 0.779 0.115
In9 0.778 0.154 0.615
In10 0.779 0.654 0.615
In11 0.846 0.222 0.885
In12 0.939 0.061 0.250
Cu1 0.062 0.437 0.750
Cu2 0.437 0.062 0.250
Cu3 0.563 0.938 0.750
Cu4 0.938 0.563 0.250
Se1 0.064 0.183 0.680
Se2 0.064 0.658 0.680
Se3 0.115 0.247 0.960
Se4 0.157 0.525 0.180
Se5 0.183 0.064 0.180
Se6 0.234 0.616 0.460
Se7 0.247 0.115 0.460
Se8 0.318 0.474 0.820
Se9 0.342 0.936 0.820
Se10 0.384 0.766 0.040
Se11 0.474 0.318 0.320
Se12 0.475 0.843 0.320
Se13 0.525 0.157 0.680
Se14 0.526 0.682 0.680
Se15 0.616 0.234 0.960
Se16 0.658 0.064 0.180
Se17 0.682 0.526 0.180
Se18 0.753 0.885 0.540
Se19 0.766 0.384 0.540
Se20 0.817 0.936 0.820
Se21 0.843 0.475 0.820
Se22 0.885 0.753 0.040
Se23 0.936 0.342 0.320
Se24 0.936 0.817 0.320